Simulated powder diffractogram of Ti3SnP for Cu Kα, from a crystal structure in Alexandria, relaxed with GGA-PBE.

```
Ti3SnP
1.0
5.9830 -2.3596 0.0000
5.9830 2.3596 0.0000
-0.8540 0.0000 6.8094
Ti Sn P
6 2 2
Direct
0.0356 0.0356 0.2984 Ti
0.1645 0.1645 0.9725 Ti
0.2848 0.2848 0.3520 Ti
0.7152 0.7152 0.6480 Ti
0.8355 0.8355 0.0275 Ti
0.9644 0.9644 0.7016 Ti
0.3798 0.3798 0.8304 Sn
0.6202 0.6202 0.1696 Sn
0.1525 0.1525 0.6105 P
0.8475 0.8475 0.3895 P
```

Principal peaks in the range 2θ = 15–90°, by angle:
Position (°2θ)  intensity
18.6  50
23.6  63
31.1  44
31.9  58
34.1  70
34.4  55
37.8  80
38.1  100
43.2  87
45.9  42


Simulated powder diffractogram of Sm4NiS3 for Cu Kα, from a crystal structure in Alexandria, relaxed with GGA-PBE.

```
Sm4NiS3
1.0
7.0494 0.0000 0.0000
0.0000 8.0563 0.0000
-2.2688 0.0000 6.5007
Sm Ni S
8 2 6
Direct
0.2447 0.1234 0.0031 Sm
0.2453 0.3690 0.4973 Sm
0.2453 0.6310 0.9973 Sm
0.2447 0.8766 0.5031 Sm
0.7553 0.1234 0.4969 Sm
0.7547 0.3690 0.0027 Sm
0.7547 0.6310 0.5027 Sm
0.7553 0.8766 0.9969 Sm
0.0000 0.1218 0.2500 Ni
0.0000 0.8782 0.7500 Ni
0.0000 0.3775 0.7500 S
0.0000 0.6225 0.2500 S
0.5000 0.1272 0.7500 S
0.5000 0.3811 0.2500 S
0.5000 0.6189 0.7500 S
0.5000 0.8728 0.2500 S
```

Principal peaks in the range 2θ = 15–90°, by angle:
Position (°2θ)  intensity
26.8  24
27.1  46
27.4  22
31.4  100
31.5  49
44.6  37
45.0  36
45.5  35
56.0  19
74.4  16


Simulated powder diffractogram of AcPm4Nd10 for Cu Kα, from a crystal structure in Alexandria, relaxed with GGA-PBE.

```
AcPm4Nd10
1.0
-6.4596 6.4596 3.4915
6.4596 -6.4596 3.4915
6.4596 6.4596 -3.4915
Ac Pm Nd
1 4 10
Direct
0.0000 0.0000 0.0000 Ac
0.3208 0.4330 0.7538 Pm
0.4330 0.6792 0.1122 Pm
0.5670 0.3208 0.8878 Pm
0.6792 0.5670 0.2462 Pm
0.0443 0.6213 0.1630 Nd
0.1188 0.9557 0.5770 Nd
0.2500 0.7500 0.5000 Nd
0.3787 0.5418 0.4230 Nd
0.4582 0.8812 0.8370 Nd
0.5418 0.1188 0.1630 Nd
0.6213 0.4582 0.5770 Nd
0.7500 0.2500 0.5000 Nd
0.8812 0.0443 0.4230 Nd
0.9557 0.3787 0.8370 Nd
```

Principal peaks in the range 2θ = 15–90°, by angle:
Position (°2θ)  intensity
19.9  34
27.3  71
28.0  43
31.0  100
33.8  79
35.4  30
39.3  30
44.2  45
44.3  26
62.1  27


Simulated powder diffractogram of Rb2RuSI6 for Cu Kα, from a crystal structure in Alexandria, relaxed with GGA-PBE.

```
Rb2RuSI6
1.0
-4.2042 4.2042 5.5057
4.2042 -4.2042 5.5057
4.2042 4.2042 -5.5057
Rb Ru S I
2 1 1 6
Direct
0.2500 0.7500 0.5000 Rb
0.7500 0.2500 0.5000 Rb
0.0000 0.0000 0.0000 Ru
0.5000 0.5000 0.0000 S
0.2304 0.2304 0.4608 I
0.2304 0.7696 0.0000 I
0.2528 0.2528 0.0000 I
0.7472 0.7472 0.0000 I
0.7696 0.2304 0.0000 I
0.7696 0.7696 0.5392 I
```

Principal peaks in the range 2θ = 15–90°, by angle:
Position (°2θ)  intensity
26.7  100
30.1  66
32.5  28
43.0  23
44.9  43
51.4  28
54.6  13
55.0  22
71.9  10
80.2  12


Simulated powder diffractogram of Ba2Sn6Au3 for Cu Kα, from a crystal structure in Alexandria, relaxed with GGA-PBE.

```
Ba2Sn6Au3
1.0
8.6450 0.0000 0.0000
-4.3225 7.4868 0.0000
0.0000 0.0000 4.8927
Ba Sn Au
2 6 3
Direct
0.3333 0.6667 0.0000 Ba
0.6667 0.3333 0.0000 Ba
0.0000 0.3196 0.5000 Sn
0.0000 0.7973 0.0000 Sn
0.2027 0.2027 0.0000 Sn
0.3196 0.0000 0.5000 Sn
0.6804 0.6804 0.5000 Sn
0.7973 0.0000 0.0000 Sn
0.0000 0.6400 0.5000 Au
0.3600 0.3600 0.5000 Au
0.6400 0.0000 0.5000 Au
```

Principal peaks in the range 2θ = 15–90°, by angle:
Position (°2θ)  intensity
20.5  35
27.5  100
36.0  61
36.7  94
40.6  37
45.9  23
52.4  43
59.7  38
66.1  16
83.8  15


Simulated powder diffractogram of Dy3Cd4Hg4 for Cu Kα, from a crystal structure in Alexandria, relaxed with GGA-PBE.

```
Dy3Cd4Hg4
1.0
3.4527 0.0000 0.0000
-0.0023 4.9477 0.0000
-1.7257 -2.4536 15.4547
Dy Cd Hg
3 4 4
Direct
0.0000 0.0000 0.0000 Dy
0.1395 0.6389 0.2789 Dy
0.8605 0.3611 0.7211 Dy
0.2666 0.2666 0.5321 Cd
0.4085 0.9090 0.8176 Cd
0.5915 0.0910 0.1824 Cd
0.7334 0.7334 0.4679 Cd
0.3180 0.8180 0.6344 Hg
0.4511 0.4532 0.9062 Hg
0.5489 0.5468 0.0938 Hg
0.6820 0.1820 0.3656 Hg
```

Principal peaks in the range 2θ = 15–90°, by angle:
Position (°2θ)  intensity
32.1  24
32.9  50
33.7  91
36.3  54
36.8  100
49.8  31
53.0  18
65.6  18
66.0  19
66.3  27


Simulated powder diffractogram of LiAc2Zn4Ir3 for Cu Kα, from a crystal structure in Alexandria, relaxed with GGA-PBE.

```
LiAc2Zn4Ir3
1.0
4.3361 0.0000 0.0000
0.0000 4.3361 0.0000
0.0000 0.0000 10.6738
Li Ac Zn Ir
1 2 4 3
Direct
0.0000 0.0000 0.0000 Li
0.0000 0.5000 0.7460 Ac
0.5000 0.0000 0.2540 Ac
0.0000 0.0000 0.5000 Zn
0.0000 0.5000 0.1230 Zn
0.5000 0.0000 0.8770 Zn
0.5000 0.5000 0.5000 Zn
0.0000 0.5000 0.3614 Ir
0.5000 0.0000 0.6386 Ir
0.5000 0.5000 0.0000 Ir
```

Principal peaks in the range 2θ = 15–90°, by angle:
Position (°2θ)  intensity
26.5  20
29.1  40
32.6  89
33.7  100
41.7  67
47.5  45
53.8  44
60.4  23
65.0  36
71.0  25


Simulated powder diffractogram of NiPtSe4 for Cu Kα, from a crystal structure in Alexandria, relaxed with GGA-PBE.

```
NiPtSe4
1.0
5.0818 0.0000 0.0000
0.0000 3.7062 0.0000
-0.0060 0.0000 6.4141
Ni Pt Se
1 1 4
Direct
0.0000 0.0000 0.0000 Ni
0.0000 0.5000 0.5000 Pt
0.2387 0.5000 0.1553 Se
0.2555 0.0000 0.6765 Se
0.7445 0.0000 0.3235 Se
0.7613 0.5000 0.8447 Se
```

Principal peaks in the range 2θ = 15–90°, by angle:
Position (°2θ)  intensity
17.5  39
33.0  100
45.5  50
49.2  38
52.6  13
60.5  17
61.9  17
69.3  14
81.6  14
89.6  12